[1]
Structure and calculated PXRD pattern of Na7SnS3O12F3 (a crystal structure in the Materials Project, relaxed with GGA-PBE; Cu Kα).
Kinematic intensities with the Lorentz-polarization factor, no thermal factor.

Structure:
Lattice parameters (Å, degrees): 10.9335 10.9335 6.7937 90.00 90.00 120.00
Fractional coordinates of all 52 atoms:
Na1 0.0000 0.0000 0.0000
Na2 0.0000 0.0000 0.5000
Na3 0.0612 0.5306 0.9351
Na4 0.1735 0.3470 0.2130
Na5 0.1735 0.8265 0.2130
Na6 0.3470 0.1735 0.7130
Na7 0.4694 0.5306 0.9351
Na8 0.4694 0.9388 0.9351
Na9 0.5306 0.0612 0.4351
Na10 0.5306 0.4694 0.4351
Na11 0.6530 0.8265 0.2130
Na12 0.8265 0.1735 0.7130
Na13 0.8265 0.6530 0.7130
Na14 0.9388 0.4694 0.4351
Sn1 0.3333 0.6667 0.4529
Sn2 0.6667 0.3333 0.9529
S1 0.1694 0.3389 0.7038
S2 0.1694 0.8306 0.7038
S3 0.3389 0.1694 0.2038
S4 0.6611 0.8306 0.7038
S5 0.8306 0.1694 0.2038
S6 0.8306 0.6611 0.2038
O1 0.0733 0.3696 0.5841
O2 0.0733 0.7038 0.5841
O3 0.0928 0.1857 0.7585
O4 0.0928 0.9072 0.7585
O5 0.1857 0.0928 0.2585
O6 0.2150 0.4299 0.8830
O7 0.2150 0.7850 0.8830
O8 0.2962 0.3696 0.5841
O9 0.2962 0.9267 0.5841
O10 0.3696 0.0733 0.0841
O11 0.3696 0.2962 0.0841
O12 0.4299 0.2150 0.3830
O13 0.5701 0.7850 0.8830
O14 0.6304 0.7038 0.5841
O15 0.6304 0.9267 0.5841
O16 0.7038 0.0733 0.0841
O17 0.7038 0.6304 0.0841
O18 0.7850 0.2150 0.3830
O19 0.7850 0.5701 0.3830
O20 0.8143 0.9072 0.7585
O21 0.9072 0.0928 0.2585
O22 0.9072 0.8143 0.2585
O23 0.9267 0.2962 0.0841
O24 0.9267 0.6304 0.0841
F1 0.1587 0.5794 0.2542
F2 0.4206 0.5794 0.2542
F3 0.4206 0.8413 0.2542
F4 0.5794 0.1587 0.7542
F5 0.5794 0.4206 0.7542
F6 0.8413 0.4206 0.7542

Peak list (12 most intense, 2θ from 10° to 80°, sorted by position)
16.06°, I 782; 22.90°, I 1000; 27.90°, I 277; 28.19°, I 858; 30.99°, I 554; 32.76°, I 855; 36.69°, I 534; 38.95°, I 531; 40.35°, I 256; 47.51°, I 381; 51.79°, I 420; 64.60°, I 276

=====

[2]
Structure and calculated PXRD pattern of NaZnSO4F (a crystal structure in the Materials Project, relaxed with GGA-PBE; Cu Kα).
Kinematic intensities with the Lorentz-polarization factor, no thermal factor.

Structure:
Lattice parameters (Å, degrees): 5.5238 5.5238 7.2457 104.43 104.43 103.66
Fractional coordinates of all 16 atoms:
Na1 0.1634 0.8366 0.7500
Na2 0.8366 0.1634 0.2500
Zn1 0.5000 0.5000 0.0000
Zn2 0.5000 0.5000 0.5000
S1 0.1796 0.8204 0.2500
S2 0.8204 0.1796 0.7500
O1 0.0868 0.2422 0.8990
O2 0.1775 0.6211 0.3578
O3 0.2422 0.0868 0.3990
O4 0.3789 0.8225 0.1422
O5 0.6211 0.1775 0.8578
O6 0.7578 0.9132 0.6010
O7 0.8225 0.3789 0.6422
O8 0.9132 0.7578 0.1010
F1 0.4143 0.5857 0.7500
F2 0.5857 0.4143 0.2500

Peak list (12 most intense, 2θ from 10° to 80°, sorted by position)
17.48°, I 634; 26.88°, I 1000; 28.57°, I 815; 34.02°, I 560; 34.13°, I 606; 36.92°, I 189; 42.19°, I 254; 44.74°, I 223; 52.10°, I 334; 52.38°, I 235; 54.26°, I 216; 60.81°, I 191

=====

[3]
Structure and calculated PXRD pattern of NaSbO2F4 (a crystal structure in the Materials Project, relaxed with GGA-PBE; Cu Kα).
Kinematic intensities with the Lorentz-polarization factor, no thermal factor.

Structure:
Lattice parameters (Å, degrees): 5.4495 5.4495 9.8708 90.28 90.28 119.39
Fractional coordinates of all 16 atoms:
Na1 0.0077 0.9923 0.5000
Na2 0.9923 0.0077 0.0000
Sb1 0.3315 0.6552 0.7482
Sb2 0.6552 0.3315 0.2482
O1 0.3802 0.9980 0.8412
O2 0.6175 0.9880 0.6496
O3 0.9880 0.6175 0.1496
O4 0.9980 0.3802 0.3412
F1 0.0360 0.6533 0.6348
F2 0.0510 0.3767 0.8652
F3 0.3279 0.3684 0.6321
F4 0.3684 0.3279 0.1321
F5 0.3767 0.0510 0.3652
F6 0.6224 0.6572 0.8658
F7 0.6533 0.0360 0.1348
F8 0.6572 0.6224 0.3658

Peak list (12 most intense, 2θ from 10° to 80°, sorted by position)
17.97°, I 379; 18.69°, I 138; 20.69°, I 486; 20.88°, I 1000; 25.93°, I 190; 26.16°, I 318; 32.99°, I 121; 33.24°, I 217; 37.28°, I 119; 37.79°, I 254; 49.99°, I 163; 58.28°, I 141

=====

[4]
Structure and calculated PXRD pattern of Na5Sm4Si4O16F (a crystal structure in the Materials Project, relaxed with GGA-PBE; Cu Kα).
Kinematic intensities with the Lorentz-polarization factor, no thermal factor.

Structure:
Lattice parameters (Å, degrees): 8.8548 8.8548 8.8548 95.51 95.51 143.88
Fractional coordinates of all 30 atoms:
Na1 0.0000 0.0000 0.0000
Na2 0.0968 0.5813 0.6943
Na3 0.4187 0.1130 0.5154
Na4 0.5976 0.9032 0.4846
Na5 0.8870 0.4024 0.3057
Sm1 0.2961 0.3634 0.6996
Sm2 0.4034 0.7039 0.0672
Sm3 0.6366 0.3362 0.9328
Sm4 0.6638 0.5966 0.3004
Si1 0.1120 0.2567 0.3498
Si2 0.2378 0.8880 0.1447
Si3 0.7433 0.0931 0.8553
Si4 0.9069 0.7622 0.6502
O1 0.0441 0.2807 0.8584
O2 0.0924 0.3704 0.4927
O3 0.1480 0.7131 0.9695
O4 0.2207 0.0481 0.7569
O5 0.2869 0.2564 0.4349
O6 0.2912 0.4637 0.2431
O7 0.4003 0.9076 0.2780
O8 0.4223 0.1857 0.1416
O9 0.5363 0.7793 0.8274
O10 0.6296 0.1223 0.7220
O11 0.7193 0.5777 0.7634
O12 0.7436 0.1785 0.0305
O13 0.8143 0.9559 0.2366
O14 0.8215 0.8520 0.5651
O15 0.8777 0.5997 0.5073
O16 0.9519 0.7088 0.1726
F1 0.5000 0.5000 0.0000

Peak list (12 most intense, 2θ from 10° to 80°, sorted by position)
10.51°, I 586; 17.79°, I 1000; 23.27°, I 529; 23.63°, I 524; 27.74°, I 706; 31.62°, I 828; 32.62°, I 521; 33.67°, I 378; 35.11°, I 632; 41.33°, I 418; 47.58°, I 491; 49.44°, I 433

=====

[5]
Structure and calculated PXRD pattern of Na5Tb4Si4O16F (a crystal structure in the Materials Project, relaxed with GGA-PBE; Cu Kα).
Kinematic intensities with the Lorentz-polarization factor, no thermal factor.

Structure:
Lattice parameters (Å, degrees): 8.7393 8.7393 8.7393 95.58 95.58 143.66
Fractional coordinates of all 30 atoms:
Na1 0.0000 0.0000 0.0000
Na2 0.0978 0.4033 0.5155
Na3 0.4177 0.9022 0.3055
Na4 0.5967 0.1122 0.6945
Na5 0.8878 0.5823 0.4845
Tb1 0.2953 0.5941 0.9327
Tb2 0.4059 0.3386 0.7012
Tb3 0.6374 0.7047 0.2988
Tb4 0.6614 0.3626 0.0673
Si1 0.1138 0.7635 0.8565
Si2 0.2365 0.0930 0.3503
Si3 0.7427 0.8862 0.6497
Si4 0.9070 0.2573 0.1435
O1 0.0471 0.1871 0.7637
O2 0.0964 0.6006 0.7220
O3 0.1416 0.1739 0.4381
O4 0.2230 0.4634 0.1712
O5 0.2922 0.0518 0.8288
O6 0.2965 0.8584 0.0323
O7 0.3994 0.1215 0.4958
O8 0.4234 0.2834 0.2363
O9 0.5366 0.7078 0.7596
O10 0.6257 0.9036 0.5042
O11 0.7166 0.9529 0.1400
O12 0.7358 0.7035 0.5619
O13 0.8129 0.5766 0.8600
O14 0.8261 0.2642 0.9677
O15 0.8785 0.3743 0.2780
O16 0.9482 0.7770 0.2404
F1 0.5000 0.5000 0.0000

Peak list (12 most intense, 2θ from 10° to 80°, sorted by position)
10.65°, I 580; 17.94°, I 1000; 23.52°, I 492; 23.96°, I 514; 28.06°, I 661; 32.01°, I 750; 32.86°, I 471; 34.15°, I 347; 35.56°, I 599; 41.88°, I 396; 48.12°, I 451; 50.13°, I 390

=====

[6]
Structure and calculated PXRD pattern of Na5Tm4Si4O16F (a crystal structure in the Materials Project, relaxed with GGA-PBE; Cu Kα).
Kinematic intensities with the Lorentz-polarization factor, no thermal factor.

Structure:
Lattice parameters (Å, degrees): 8.6023 8.6023 8.6023 95.66 95.66 143.40
Fractional coordinates of all 30 atoms:
Na1 0.0000 0.0000 0.0000
Na2 0.0992 0.5835 0.6942
Na3 0.4165 0.1107 0.5157
Na4 0.5951 0.9008 0.4844
Na5 0.8893 0.4049 0.3058
Tm1 0.2949 0.3616 0.7030
Tm2 0.4081 0.7051 0.0667
Tm3 0.6384 0.3414 0.9333
Tm4 0.6586 0.5919 0.2970
Si1 0.1149 0.2573 0.3503
Si2 0.2354 0.8851 0.1424
Si3 0.7427 0.0930 0.8576
Si4 0.9070 0.7646 0.6497
O1 0.0509 0.2861 0.8624
O2 0.0982 0.3760 0.4987
O3 0.1351 0.6937 0.9659
O4 0.2261 0.0556 0.7631
O5 0.2924 0.4630 0.2369
O6 0.3063 0.2722 0.4414
O7 0.4005 0.9018 0.2778
O8 0.4237 0.1885 0.1376
O9 0.5370 0.7739 0.8295
O10 0.6240 0.1227 0.7222
O11 0.7139 0.5763 0.7648
O12 0.7278 0.1692 0.0341
O13 0.8115 0.9491 0.2352
O14 0.8308 0.8649 0.5586
O15 0.8773 0.5995 0.5013
O16 0.9444 0.7076 0.1705
F1 0.5000 0.5000 0.0000

Peak list (12 most intense, 2θ from 10° to 80°, sorted by position)
10.83°, I 578; 18.13°, I 1000; 23.83°, I 449; 24.37°, I 505; 28.47°, I 624; 32.50°, I 668; 33.17°, I 422; 34.73°, I 315; 36.12°, I 565; 42.56°, I 377; 48.79°, I 409; 50.98°, I 348

=====

[7]
Structure and calculated PXRD pattern of Na9U3Si4O20F2 (a crystal structure in the Materials Project, relaxed with GGA-PBE; Cu Kα).
Kinematic intensities with the Lorentz-polarization factor, no thermal factor.

Structure:
Lattice parameters (Å, degrees): 5.9467 7.4835 12.0455 89.95 84.72 89.99
Fractional coordinates of all 38 atoms:
Na1 0.0000 0.0000 0.0000
Na2 0.9999 0.2675 0.4999
Na3 0.0001 0.7325 0.5001
Na4 0.2857 0.5001 0.2807
Na5 0.4999 0.2393 0.0000
Na6 0.4999 0.2690 0.5000
Na7 0.5001 0.7310 0.5000
Na8 0.5001 0.7607 0.0000
Na9 0.7143 0.4999 0.7193
U1 0.0000 0.5000 0.0000
U2 0.2861 0.9998 0.2830
U3 0.7139 0.0002 0.7170
Si1 0.2024 0.2854 0.7647
Si2 0.2026 0.7150 0.7646
Si3 0.7974 0.2850 0.2354
Si4 0.7976 0.7146 0.2353
O1 0.0114 0.2060 0.2966
O2 0.0116 0.7934 0.2966
O3 0.1712 0.2641 0.9007
O4 0.1716 0.7359 0.9006
O5 0.2007 0.5002 0.7368
O6 0.2531 0.4997 0.0852
O7 0.2630 0.9993 0.4421
O8 0.3129 0.0001 0.1243
O9 0.4483 0.2135 0.7101
O10 0.4484 0.7870 0.7099
O11 0.5516 0.2130 0.2901
O12 0.5517 0.7865 0.2899
O13 0.6871 0.9999 0.8757
O14 0.7370 0.0007 0.5579
O15 0.7469 0.5003 0.9148
O16 0.7993 0.4998 0.2632
O17 0.8284 0.2641 0.0994
O18 0.8288 0.7359 0.0993
O19 0.9884 0.2066 0.7034
O20 0.9886 0.7940 0.7034
F1 0.2562 0.4998 0.4666
F2 0.7438 0.5002 0.5334

Peak list (12 most intense, 2θ from 10° to 80°, sorted by position)
13.95°, I 324; 17.30°, I 420; 18.96°, I 676; 19.11°, I 216; 20.02°, I 1000; 29.56°, I 640; 29.80°, I 264; 30.54°, I 248; 32.49°, I 286; 38.98°, I 161; 48.70°, I 231; 52.37°, I 163

=====

[8]
Structure and calculated PXRD pattern of Na3U2O10F7 (a crystal structure in the Materials Project, relaxed with GGA-PBE; Cu Kα).
Kinematic intensities with the Lorentz-polarization factor, no thermal factor.

Structure:
Lattice parameters (Å, degrees): 7.1830 7.8207 8.8475 67.00 76.46 74.03
Fractional coordinates of all 22 atoms:
Na1 0.0000 0.0000 0.0000
Na2 0.0504 0.1528 0.5401
Na3 0.9496 0.8472 0.4599
U1 0.4920 0.9997 0.2313
U2 0.5080 0.0003 0.7687
O1 0.0280 0.5406 0.1651
O2 0.0805 0.5185 0.4602
O3 0.1007 0.5526 0.7862
O4 0.4577 0.2547 0.1545
O5 0.4743 0.2561 0.6896
O6 0.5257 0.7439 0.3104
O7 0.5423 0.7453 0.8455
O8 0.8993 0.4474 0.2138
O9 0.9195 0.4815 0.5398
O10 0.9720 0.4594 0.8349
F1 0.1754 0.0215 0.3546
F2 0.1846 0.0346 0.7603
F3 0.3127 0.0069 0.0315
F4 0.5000 0.0000 0.5000
F5 0.6873 0.9931 0.9685
F6 0.8154 0.9654 0.2397
F7 0.8246 0.9785 0.6454

Peak list (12 most intense, 2θ from 10° to 80°, sorted by position)
12.56°, I 1000; 12.95°, I 385; 16.11°, I 548; 19.87°, I 259; 21.23°, I 197; 21.70°, I 240; 22.06°, I 169; 23.97°, I 191; 25.28°, I 269; 26.07°, I 217; 27.22°, I 212; 39.58°, I 132